Record 1
This entry pairs a crystal structure of CeEr6Tl5 with its theoretical XRD peak list. Radiation: λ = 1.5418 Å (Cu Kα). Structure: a crystal structure in Alexandria, relaxed with PBE.
Kinematic intensities with the Lorentz-polarization factor, no thermal factor.

Cell and atoms:
```
CeEr6Tl5
1.0
5.2146 -5.5113 0.0000
5.2146 5.5113 0.0000
-1.3747 0.0000 6.0173
Ce Er Tl
1 6 5
direct
0.0000 0.0000 0.0000
0.0941 0.4411 0.2577
0.2683 0.2683 0.7618
0.4411 0.0941 0.2577
0.5589 0.9059 0.7423
0.7317 0.7317 0.2382
0.9059 0.5589 0.7423
0.1473 0.8527 0.5000
0.3111 0.6889 0.0000
0.5000 0.5000 0.5000
0.6889 0.3111 0.0000
0.8527 0.1473 0.5000
```

Peak list (10 most intense, 10 to 80 degrees two-theta, low angle first)
two_theta, intensity
30.80, 100.0
30.98, 52.9
35.31, 34.3
36.72, 61.3
37.99, 29.3
50.88, 25.4
56.74, 15.4
59.66, 12.9
62.69, 12.7
64.18, 21.1


Record 2
This entry pairs a crystal structure of La4YSe7 with its theoretical XRD peak list. Radiation: λ = 1.5418 Å (Cu Kα). Structure: a crystal structure in Alexandria, relaxed with PBE.
Kinematic intensities with the Lorentz-polarization factor, no thermal factor.

Cell and atoms:
```
La4YSe7
1.0
7.0106 -2.0833 0.0000
7.0106 2.0833 0.0000
-3.3066 0.0000 12.0850
La Y Se
4 1 7
direct
0.0000 0.0000 0.0000
0.1901 0.1901 0.7652
0.5860 0.5860 0.3783
0.8871 0.8871 0.5694
0.7742 0.7742 0.1491
0.1575 0.1575 0.2209
0.2260 0.2260 0.5209
0.3812 0.3812 0.0757
0.5479 0.5479 0.6235
0.6300 0.6300 0.9302
0.8476 0.8476 0.7883
0.9260 0.9260 0.3494
```

Peak list (10 most intense, 10 to 80 degrees two-theta, low angle first)
two_theta, intensity
22.16, 73.7
22.51, 58.9
28.79, 72.8
29.19, 64.8
30.29, 100.0
31.42, 81.7
38.79, 58.0
42.15, 51.3
43.30, 61.7
43.44, 65.4


Record 3
This entry pairs a crystal structure of ErTm4Pt2 with its theoretical XRD peak list. Radiation: λ = 1.5418 Å (Cu Kα). Structure: a crystal structure in Alexandria, relaxed with PBE.
Kinematic intensities with the Lorentz-polarization factor, no thermal factor.

Cell and atoms:
```
ErTm4Pt2
1.0
7.7048 0.0000 0.0000
0.0000 6.2569 0.0000
-3.0420 0.0000 7.3676
Er Tm Pt
2 8 4
direct
0.1533 0.2500 0.0261
0.8467 0.7500 0.9739
0.0171 0.2500 0.3881
0.2483 0.7500 0.3447
0.4104 0.0039 0.7687
0.4104 0.4961 0.7687
0.5896 0.5039 0.2313
0.5896 0.9961 0.2313
0.7517 0.2500 0.6553
0.9829 0.7500 0.6119
0.2465 0.7500 0.9898
0.3784 0.2500 0.4147
0.6216 0.7500 0.5853
0.7535 0.2500 0.0102
```

Peak list (10 most intense, 10 to 80 degrees two-theta, low angle first)
two_theta, intensity
28.53, 47.8
30.97, 49.0
31.27, 94.7
31.76, 100.0
34.99, 98.5
35.62, 48.8
36.64, 52.1
37.11, 67.4
37.72, 81.1
40.65, 45.5


Record 4
This entry pairs a crystal structure of RbBa2Au with its theoretical XRD peak list. Radiation: λ = 1.5418 Å (Cu Kα). Structure: a crystal structure in Alexandria, relaxed with PBE.
Kinematic intensities with the Lorentz-polarization factor, no thermal factor.

Cell and atoms:
```
RbBa2Au
1.0
4.1967 -2.4265 0.0000
4.1967 2.4265 0.0000
-2.7711 0.0000 11.7150
Rb Ba Au
1 2 1
direct
0.0000 0.0000 0.0000
0.2194 0.2123 0.6487
0.7877 0.7806 0.3513
0.5039 0.4961 0.5000
```

Peak list (10 most intense, 10 to 80 degrees two-theta, low angle first)
two_theta, intensity
15.13, 18.3
23.48, 100.0
27.69, 43.9
29.42, 17.1
33.24, 35.2
35.30, 15.3
37.08, 43.9
37.89, 19.9
41.93, 30.7
44.35, 18.6


Record 5
This entry pairs a crystal structure of Cu3PbW with its theoretical XRD peak list. Radiation: λ = 1.5418 Å (Cu Kα). Structure: a crystal structure in Alexandria, relaxed with PBE.
Kinematic intensities with the Lorentz-polarization factor, no thermal factor.

Cell and atoms:
```
Cu3PbW
1.0
4.7792 0.0000 0.0000
0.0000 4.7792 0.0000
0.0000 0.0000 4.7792
Cu Pb W
3 1 1
direct
0.0000 0.0000 0.5000
0.0000 0.5000 0.0000
0.5000 0.0000 0.0000
0.5000 0.5000 0.5000
0.0000 0.0000 0.0000
```

Peak list (10 most intense, 10 to 80 degrees two-theta, low angle first)
two_theta, intensity
18.57, 2.8
26.37, 100.0
32.45, 21.7
37.64, 70.8
46.55, 45.1
54.29, 48.7
61.34, 20.4
64.69, 8.2
67.94, 16.3
74.25, 24.0


Record 6
This entry pairs a crystal structure of Sm8Er2Al with its theoretical XRD peak list. Radiation: λ = 1.5418 Å (Cu Kα). Structure: a crystal structure in Alexandria, relaxed with PBE.
Kinematic intensities with the Lorentz-polarization factor, no thermal factor.

Cell and atoms:
```
Sm8Er2Al
1.0
8.8590 -2.7289 0.0000
8.8590 2.7289 0.0000
-3.0900 0.0000 7.3292
Sm Er Al
8 2 1
direct
0.0123 0.0123 0.2623
0.1769 0.1769 0.7163
0.3424 0.3424 0.5924
0.3892 0.3892 0.0794
0.6108 0.6108 0.9206
0.6576 0.6576 0.4076
0.8231 0.8231 0.2837
0.9877 0.9877 0.7377
0.1918 0.1918 0.1590
0.8082 0.8082 0.8410
0.5000 0.5000 0.5000
```

Peak list (10 most intense, 10 to 80 degrees two-theta, low angle first)
two_theta, intensity
25.59, 22.6
30.11, 33.0
31.60, 100.0
31.94, 46.1
32.84, 68.1
33.15, 44.6
34.70, 12.4
42.08, 13.1
47.17, 12.4
57.83, 18.0


Record 7
This entry pairs a crystal structure of CaDyZn2Au5 with its theoretical XRD peak list. Radiation: λ = 1.5418 Å (Cu Kα). Structure: a crystal structure in Alexandria, relaxed with PBE.
Kinematic intensities with the Lorentz-polarization factor, no thermal factor.

Cell and atoms:
```
CaDyZn2Au5
1.0
4.4372 0.0000 0.0000
0.0000 4.4372 0.0000
0.0000 0.0000 9.2029
Ca Dy Zn Au
1 1 2 5
direct
0.0000 0.0000 0.0000
0.0000 0.0000 0.5000
0.5000 0.5000 0.3714
0.5000 0.5000 0.6286
0.0000 0.5000 0.2313
0.0000 0.5000 0.7687
0.5000 0.0000 0.2313
0.5000 0.0000 0.7687
0.5000 0.5000 0.0000
```

Peak list (10 most intense, 10 to 80 degrees two-theta, low angle first)
two_theta, intensity
19.29, 10.5
22.24, 10.1
34.60, 100.0
35.58, 12.3
39.15, 12.3
40.67, 42.4
57.73, 16.1
58.87, 14.3
68.04, 11.0
70.11, 26.3


Record 8
This entry pairs a crystal structure of BaMgCdAu2 with its theoretical XRD peak list. Radiation: λ = 1.5418 Å (Cu Kα). Structure: a crystal structure in Alexandria, relaxed with PBE.
Kinematic intensities with the Lorentz-polarization factor, no thermal factor.

Cell and atoms:
```
BaMgCdAu2
1.0
-2.2543 2.2543 6.4392
2.2543 -2.2543 6.4392
2.2543 2.2543 -6.4392
Ba Mg Cd Au
1 1 1 2
direct
0.0000 0.0000 0.0000
0.7500 0.2500 0.5000
0.2500 0.7500 0.5000
0.3870 0.3870 0.0000
0.6130 0.6130 0.0000
```

Peak list (10 most intense, 10 to 80 degrees two-theta, low angle first)
two_theta, intensity
20.88, 61.3
27.99, 63.4
28.71, 100.0
31.31, 71.0
39.79, 50.9
40.00, 74.1
40.33, 82.3
49.98, 43.5
57.85, 25.1
58.10, 56.8


Record 9
This entry pairs a crystal structure of Cr3Mo4 with its theoretical XRD peak list. Radiation: λ = 1.5418 Å (Cu Kα). Structure: a crystal structure in Alexandria, relaxed with PBE.
Kinematic intensities with the Lorentz-polarization factor, no thermal factor.

Cell and atoms:
```
Cr3Mo4
1.0
4.8292 0.0000 0.0000
-2.4146 4.1822 0.0000
0.0000 0.0000 4.9387
Cr Mo
3 4
direct
0.0000 0.5000 0.0000
0.5000 0.0000 0.0000
0.5000 0.5000 0.0000
0.0000 0.0000 0.2524
0.0000 0.0000 0.7476
0.3333 0.6667 0.5000
0.6667 0.3333 0.5000
```

Peak list (10 most intense, 10 to 80 degrees two-theta, low angle first)
two_theta, intensity
37.24, 69.8
41.63, 56.2
42.51, 100.0
43.27, 26.1
47.20, 38.8
67.15, 12.0
69.05, 10.6
70.14, 11.2
70.77, 41.7
79.37, 18.8


Record 10
This entry pairs a crystal structure of SrMg3CdAg with its theoretical XRD peak list. Radiation: λ = 1.5418 Å (Cu Kα). Structure: a crystal structure in Alexandria, relaxed with PBE.
Kinematic intensities with the Lorentz-polarization factor, no thermal factor.

Cell and atoms:
```
SrMg3CdAg
1.0
3.6568 -6.9244 0.0000
3.6568 6.9244 0.0000
0.0000 0.0000 6.4799
Sr Mg Cd Ag
2 6 2 2
direct
0.2138 0.7862 0.7500
0.7862 0.2138 0.2500
0.2003 0.2003 0.0000
0.2003 0.2003 0.5000
0.3497 0.6503 0.2500
0.6503 0.3497 0.7500
0.7997 0.7997 0.0000
0.7997 0.7997 0.5000
0.4410 0.5590 0.7500
0.5590 0.4410 0.2500
0.1423 0.8577 0.2500
0.8577 0.1423 0.7500
```

Peak list (10 most intense, 10 to 80 degrees two-theta, low angle first)
two_theta, intensity
18.76, 53.3
22.78, 61.0
24.34, 84.2
27.54, 64.4
30.90, 36.2
36.02, 53.2
37.07, 91.2
37.39, 100.0
51.92, 36.2
55.38, 29.6


Record 11
This entry pairs a crystal structure of AcPrHo with its theoretical XRD peak list. Radiation: λ = 1.5418 Å (Cu Kα). Structure: a crystal structure in Alexandria, relaxed with PBE.
Kinematic intensities with the Lorentz-polarization factor, no thermal factor.

Cell and atoms:
```
AcPrHo
1.0
6.5851 0.0000 0.0000
0.0000 12.1696 0.0000
-3.0225 0.0000 5.5567
Ac Pr Ho
4 4 4
direct
0.1709 0.1322 0.1566
0.1709 0.3678 0.6566
0.8291 0.6322 0.3434
0.8291 0.8678 0.8434
0.1881 0.6156 0.0099
0.1881 0.8844 0.5099
0.8119 0.1156 0.4901
0.8119 0.3844 0.9901
0.4832 0.6160 0.6573
0.4832 0.8840 0.1573
0.5168 0.1160 0.8427
0.5168 0.3840 0.3427
```

Peak list (10 most intense, 10 to 80 degrees two-theta, low angle first)
two_theta, intensity
28.07, 19.3
28.22, 12.5
29.17, 25.6
29.36, 36.1
30.88, 100.0
36.01, 16.5
47.13, 15.3
49.80, 9.5
53.03, 20.3
56.49, 14.5


Record 12
This entry pairs a crystal structure of Li3Ge2Ir with its theoretical XRD peak list. Radiation: λ = 1.5418 Å (Cu Kα). Structure: a crystal structure in Alexandria, relaxed with PBE.
Kinematic intensities with the Lorentz-polarization factor, no thermal factor.

Cell and atoms:
```
Li3Ge2Ir
1.0
-2.8168 6.3208 2.8734
2.8168 -6.3208 2.8734
2.8168 6.3208 -2.8734
Li Ge Ir
6 4 2
direct
0.1640 0.2439 0.4079
0.2500 0.2500 0.0000
0.3360 0.7439 0.0799
0.6640 0.2561 0.9201
0.7500 0.7500 0.0000
0.8360 0.7561 0.5921
0.1230 0.7244 0.8474
0.3770 0.2244 0.6015
0.6230 0.7756 0.3985
0.8770 0.2756 0.1526
0.2500 0.7500 0.5000
0.7500 0.2500 0.5000
```

Peak list (10 most intense, 10 to 80 degrees two-theta, low angle first)
two_theta, intensity
14.01, 73.5
17.23, 100.0
26.26, 36.6
26.41, 25.4
34.28, 17.7
35.79, 23.0
41.27, 22.4
42.52, 31.5
43.00, 33.9
45.07, 26.2


Record 13
This entry pairs a crystal structure of Li6NdCd6 with its theoretical XRD peak list. Radiation: λ = 1.5418 Å (Cu Kα). Structure: a crystal structure in Alexandria, relaxed with PBE.
Kinematic intensities with the Lorentz-polarization factor, no thermal factor.

Cell and atoms:
```
Li6NdCd6
1.0
-2.6575 4.9528 4.9763
2.6575 -4.9528 4.9763
2.6575 4.9528 -4.9763
Li Nd Cd
6 1 6
direct
0.0000 0.0000 0.5000
0.0000 0.5000 0.0000
0.2259 0.2259 0.0000
0.5000 0.0000 0.0000
0.5000 0.5000 0.5000
0.7741 0.7741 0.0000
0.0000 0.5000 0.5000
0.1974 0.0000 0.1974
0.3442 0.8442 0.5000
0.3491 0.5000 0.8491
0.6509 0.5000 0.1509
0.6558 0.1558 0.5000
0.8026 0.0000 0.8026
```

Peak list (10 most intense, 10 to 80 degrees two-theta, low angle first)
two_theta, intensity
17.83, 81.9
26.15, 18.6
28.37, 20.2
31.80, 22.4
31.91, 95.9
33.73, 46.5
36.76, 100.0
38.42, 43.5
62.32, 21.3
65.36, 24.7


Record 14
This entry pairs a crystal structure of PrEr8Sc4 with its theoretical XRD peak list. Radiation: λ = 1.5418 Å (Cu Kα). Structure: a crystal structure in Alexandria, relaxed with PBE.
Kinematic intensities with the Lorentz-polarization factor, no thermal factor.

Cell and atoms:
```
PrEr8Sc4
1.0
3.5390 2.0432 8.7815
-3.5390 2.0432 8.7815
0.0000 -4.0864 8.7815
Pr Er Sc
1 8 4
direct
0.0000 0.0000 0.0000
0.2527 0.2527 0.7022
0.2527 0.7022 0.2527
0.2807 0.2807 0.2807
0.2978 0.7473 0.7473
0.7022 0.2527 0.2527
0.7193 0.7193 0.7193
0.7473 0.2978 0.7473
0.7473 0.7473 0.2978
0.0000 0.0000 0.5000
0.0000 0.5000 0.0000
0.5000 0.0000 0.0000
0.5000 0.5000 0.5000
```

Peak list (10 most intense, 10 to 80 degrees two-theta, low angle first)
two_theta, intensity
10.07, 35.2
20.22, 21.7
29.93, 48.4
30.54, 21.2
32.21, 100.0
33.84, 21.4
37.86, 21.9
40.20, 28.8
48.22, 16.7
51.66, 28.8